Record 1
This entry pairs a crystal structure of CePm4Ni5 with its simulated PXRD pattern. Radiation: Cu Kα (λ = 1.5418 Å). Structure: a cell relaxed with PBE.
No peak broadening, texture or thermal motion is included.

Most intense lines, 5 to 70 degrees two-theta, in order of rising 2θ:
| 2θ/deg | Rel. int. | h k l |
| --- | --- | --- |
| 25.75 | 19 | 0 0 5 |
| 36.74 | 100 | 1 1 0 |
| 45.41 | 6 | 1 1 5 |
| 52.82 | 5 | 0 0 10 |
| 53.00 | 12 | 2 0 0 |
| 59.82 | 5 | 2 0 5 |
| 66.09 | 11 | 1 1 10 |
| 66.21 | 23 | 2 1 5 |

```
data_CePm4Ni5
_cell_length_a 3.4558
_cell_length_b 3.4558
_cell_length_c 17.3325
_cell_angle_alpha 90.00
_cell_angle_beta 90.00
_cell_angle_gamma 90.00
_space_group_name_H-M_alt 'P 4/m m m'
_space_group_IT_number 123
_space_group_name_Hall '-P 4 2'
loop_
_atom_site_label
_atom_site_type_symbol
_atom_site_fract_x
_atom_site_fract_y
_atom_site_fract_z
Ce1 Ce 0.0000 0.0000 0.0000
Pm1 Pm 0.0000 0.0000 0.1979
Pm2 Pm 0.0000 0.0000 0.3990
Ni1 Ni 0.5000 0.5000 0.0861
Ni2 Ni 0.5000 0.5000 0.2998
Ni3 Ni 0.5000 0.5000 0.5000
```

=====

Record 2
This entry pairs a crystal structure of CePrNi17 with its simulated PXRD pattern. Radiation: Cu Kα (λ = 1.5418 Å). Structure: a cell relaxed with PBE.
No peak broadening, texture or thermal motion is included.

Most intense lines, 5 to 70 degrees two-theta, in order of rising 2θ:
| 2θ/deg | Rel. int. | h k l |
| --- | --- | --- |
| 30.80 | 30 | 1 1 3 |
| 37.34 | 40 | 3 0 0 |
| 38.78 | 28 | 0 2 4 |
| 43.38 | 64 | 2 2 0 |
| 43.75 | 100 | 3 0 3 |
| 44.84 | 34 | 0 0 6 |
| 45.02 | 17 | 2 0 5 |
| 49.15 | 30 | 2 2 3 |

```
data_CePrNi17
_cell_length_a 8.3430
_cell_length_b 8.3430
_cell_length_c 12.1270
_cell_angle_alpha 90.00
_cell_angle_beta 90.00
_cell_angle_gamma 120.00
_space_group_name_H-M_alt 'R 3 m'
_space_group_IT_number 160
_space_group_name_Hall 'R 3 -2"'
loop_
_atom_site_label
_atom_site_type_symbol
_atom_site_fract_x
_atom_site_fract_y
_atom_site_fract_z
Ce1 Ce 0.0000 0.0000 0.0000
Pr1 Pr 0.0000 0.0000 0.3216
Ni1 Ni 0.0000 0.0000 0.5650
Ni2 Ni 0.0000 0.0000 0.7629
Ni3 Ni 0.0008 0.5004 0.8160
Ni4 Ni 0.0011 0.5006 0.1615
Ni5 Ni 0.0017 0.2922 0.6618
Ni6 Ni 0.0041 0.5020 0.5072
```

=====

Record 3
This entry pairs a crystal structure of CeNiPt4 with its simulated PXRD pattern. Radiation: Cu Kα (λ = 1.5418 Å). Structure: a cell relaxed with PBE.
No peak broadening, texture or thermal motion is included.

Most intense lines, 5 to 70 degrees two-theta, in order of rising 2θ:
| 2θ/deg | Rel. int. | h k l |
| --- | --- | --- |
| 13.20 | 17 | 0 0 1 |
| 35.14 | 100 | 2 1 1 |
| 36.61 | 22 | 1 1 2 |
| 40.34 | 30 | 0 0 3 |
| 42.40 | 81 | 2 1 2 |
| 44.02 | 37 | 0 2 0 |
| 48.89 | 17 | 4 0 0 |
| 61.23 | 18 | 0 2 3 |

```
data_CeNiPt4
_cell_length_a 7.4511
_cell_length_b 4.1141
_cell_length_c 6.7080
_cell_angle_alpha 90.00
_cell_angle_beta 90.00
_cell_angle_gamma 90.00
_space_group_name_H-M_alt 'P m m a'
_space_group_IT_number 51
_space_group_name_Hall '-P 2a 2a'
loop_
_atom_site_label
_atom_site_type_symbol
_atom_site_fract_x
_atom_site_fract_y
_atom_site_fract_z
Ce1 Ce 0.2500 0.0000 0.1274
Ni1 Ni 0.2500 0.0000 0.7525
Pt1 Pt 0.0000 0.0000 0.5000
Pt2 Pt 0.0441 0.5000 0.8047
Pt3 Pt 0.2500 0.5000 0.4618
```

=====

Record 4
This entry pairs a crystal structure of CeSiNi2Pt2 with its simulated PXRD pattern. Radiation: Cu Kα (λ = 1.5418 Å). Structure: a cell relaxed with PBE.
No peak broadening, texture or thermal motion is included.

Most intense lines, 5 to 70 degrees two-theta, in order of rising 2θ:
| 2θ/deg | Rel. int. | h k l |
| --- | --- | --- |
| 16.48 | 35 | 0 0 1 |
| 32.39 | 100 | 1 1 1 |
| 38.89 | 21 | 1 0 2 |
| 39.55 | 53 | 2 0 0 |
| 43.85 | 20 | 1 1 2 |
| 52.65 | 18 | 2 0 2 |
| 57.18 | 18 | 2 2 0 |
| 67.27 | 25 | 3 1 1 |

```
data_CeSiNi2Pt2
_cell_length_a 4.5568
_cell_length_b 4.5568
_cell_length_c 5.3781
_cell_angle_alpha 90.00
_cell_angle_beta 90.00
_cell_angle_gamma 90.00
_space_group_name_H-M_alt 'P 4/m m m'
_space_group_IT_number 123
_space_group_name_Hall '-P 4 2'
loop_
_atom_site_label
_atom_site_type_symbol
_atom_site_fract_x
_atom_site_fract_y
_atom_site_fract_z
Ce1 Ce 0.0000 0.0000 0.0000
Si1 Si 0.0000 0.0000 0.5000
Ni1 Ni 0.5000 0.5000 0.2380
Pt1 Pt 0.0000 0.5000 0.5000
```

=====

Record 5
This entry pairs a crystal structure of Ce14Pu3Ni6 with its simulated PXRD pattern. Radiation: Cu Kα (λ = 1.5418 Å). Structure: a cell relaxed with PBE.
No peak broadening, texture or thermal motion is included.

Most intense lines, 5 to 70 degrees two-theta, in order of rising 2θ:
| 2θ/deg | Rel. int. | h k l |
| --- | --- | --- |
| 17.92 | 41 | 1 1 0 |
| 31.17 | 70 | 1 2 1 |
| 34.22 | 45 | 1 1 2 |
| 34.59 | 43 | 0 3 1 |
| 35.84 | 69 | 0 2 2 |
| 36.30 | 100 | 2 2 0 |
| 43.13 | 43 | 0 3 2 |
| 55.68 | 42 | 3 3 0 |

```
data_Ce14Pu3Ni6
_cell_length_a 9.8988
_cell_length_b 9.8988
_cell_length_c 6.1772
_cell_angle_alpha 90.00
_cell_angle_beta 90.00
_cell_angle_gamma 120.00
_space_group_name_H-M_alt 'P 3 m 1'
_space_group_IT_number 156
_space_group_name_Hall 'P 3 -2"'
loop_
_atom_site_label
_atom_site_type_symbol
_atom_site_fract_x
_atom_site_fract_y
_atom_site_fract_z
Ce1 Ce 0.0000 0.0000 0.0000
Ce2 Ce 0.0933 0.5467 0.2464
Ce3 Ce 0.2126 0.4252 0.7826
Ce4 Ce 0.2944 0.1472 0.4524
Ce5 Ce 0.3739 0.1869 0.9542
Ce6 Ce 0.6667 0.3333 0.5137
Pu1 Pu 0.0000 0.0000 0.5879
Pu2 Pu 0.3333 0.6667 0.0140
Pu3 Pu 0.6667 0.3333 0.0977
Ni1 Ni 0.1366 0.2732 0.2536
Ni2 Ni 0.5286 0.0573 0.7478
```

=====

Record 6
This entry pairs a crystal structure of Ce5PuNi with its simulated PXRD pattern. Radiation: Cu Kα (λ = 1.5418 Å). Structure: a cell relaxed with PBE.
No peak broadening, texture or thermal motion is included.

Most intense lines, 5 to 70 degrees two-theta, in order of rising 2θ:
| 2θ/deg | Rel. int. | h k l |
| --- | --- | --- |
| 15.71 | 67 | 1 1 0 |
| 18.33 | 35 | 0 0 2 |
| 20.70 | 41 | 1 1 -2 |
| 30.51 | 97 | 3 1 -1 |
| 31.72 | 35 | 2 2 0 |
| 33.98 | 100 | 2 0 -4 |
| 35.58 | 39 | 1 1 3 |
| 38.03 | 43 | 1 3 0 |

```
data_Ce5PuNi
_cell_length_a 9.6584
_cell_length_b 7.3718
_cell_length_c 10.6655
_cell_angle_alpha 90.00
_cell_angle_beta 114.79
_cell_angle_gamma 90.00
_space_group_name_H-M_alt 'C 1 2/c 1'
_space_group_IT_number 15
_space_group_name_Hall '-C 2yc'
loop_
_atom_site_label
_atom_site_type_symbol
_atom_site_fract_x
_atom_site_fract_y
_atom_site_fract_z
Ce1 Ce 0.0000 0.0394 0.2500
Ce2 Ce 0.1071 0.3069 0.5481
Ce3 Ce 0.2447 0.3650 0.8807
Pu1 Pu 0.0000 0.0000 0.0000
Ni1 Ni 0.0000 0.4193 0.2500
```

=====

Record 7
This entry pairs a crystal structure of Rb2Ce2NiSe6 with its simulated PXRD pattern. Radiation: Cu Kα (λ = 1.5418 Å). Structure: a cell relaxed with PBE.
No peak broadening, texture or thermal motion is included.

Most intense lines, 5 to 70 degrees two-theta, in order of rising 2θ:
| 2θ/deg | Rel. int. | h k l |
| --- | --- | --- |
| 10.81 | 77 | 0 0 1 |
| 28.90 | 47 | 2 0 -2 |
| 29.27 | 100 | 1 3 1 |
| 36.20 | 19 | 1 3 2 |
| 38.86 | 42 | 2 0 2 |
| 44.23 | 37 | 3 3 -1 |
| 44.66 | 20 | 0 6 0 |
| 54.08 | 15 | 2 6 -2 |

```
data_Rb2Ce2NiSe6
_cell_length_a 7.1177
_cell_length_b 12.1741
_cell_length_c 8.5386
_cell_angle_alpha 90.00
_cell_angle_beta 106.58
_cell_angle_gamma 90.00
_space_group_name_H-M_alt 'C 1 2/m 1'
_space_group_IT_number 12
_space_group_name_Hall '-C 2y'
loop_
_atom_site_label
_atom_site_type_symbol
_atom_site_fract_x
_atom_site_fract_y
_atom_site_fract_z
Rb1 Rb 0.0000 0.1702 0.0000
Ce1 Ce 0.0000 0.3329 0.5000
Ni1 Ni 0.0000 0.0000 0.5000
Se1 Se 0.2199 0.1545 0.6852
Se2 Se 0.2417 0.0000 0.3191
```

=====

Record 8
This entry pairs a crystal structure of CeReNi with its simulated PXRD pattern. Radiation: Cu Kα (λ = 1.5418 Å). Structure: a cell relaxed with PBE.
No peak broadening, texture or thermal motion is included.

Most intense lines, 5 to 70 degrees two-theta, in order of rising 2θ:
| 2θ/deg | Rel. int. | h k l |
| --- | --- | --- |
| 10.99 | 65 | 0 0 2 |
| 29.43 | 23 | 1 0 3 |
| 33.38 | 41 | 0 0 6 |
| 36.29 | 100 | 1 1 2 |
| 37.09 | 34 | 1 0 5 |
| 41.32 | 83 | 1 1 4 |
| 49.55 | 45 | 2 0 0 |
| 61.06 | 29 | 2 0 6 |

```
data_CeReNi
_cell_length_a 3.6791
_cell_length_b 3.6791
_cell_length_c 16.1081
_cell_angle_alpha 90.00
_cell_angle_beta 90.00
_cell_angle_gamma 90.00
_space_group_name_H-M_alt 'I 4/m m m'
_space_group_IT_number 139
_space_group_name_Hall '-I 4 2'
loop_
_atom_site_label
_atom_site_type_symbol
_atom_site_fract_x
_atom_site_fract_y
_atom_site_fract_z
Ce1 Ce 0.0000 0.0000 0.1763
Re1 Re 0.0000 0.5000 0.0000
Ni1 Ni 0.0000 0.0000 0.3811
```

=====

Record 9
This entry pairs a crystal structure of CeNi3Rh2 with its simulated PXRD pattern. Radiation: Cu Kα (λ = 1.5418 Å). Structure: a cell relaxed with PBE.
No peak broadening, texture or thermal motion is included.

Most intense lines, 5 to 70 degrees two-theta, in order of rising 2θ:
| 2θ/deg | Rel. int. | h k l |
| --- | --- | --- |
| 20.63 | 11 | 0 1 2 |
| 37.84 | 46 | 0 2 1 |
| 41.39 | 49 | 0 0 9 |
| 41.97 | 100 | 0 2 4 |
| 44.30 | 87 | 2 0 5 |
| 53.46 | 18 | 2 0 8 |
| 61.02 | 12 | 0 2 10 |
| 67.77 | 30 | 2 2 0 |

```
data_CeNi3Rh2
_cell_length_a 5.5310
_cell_length_b 5.5310
_cell_length_c 19.6337
_cell_angle_alpha 90.00
_cell_angle_beta 90.00
_cell_angle_gamma 120.00
_space_group_name_H-M_alt 'R -3 m'
_space_group_IT_number 166
_space_group_name_Hall '-R 3 2"'
loop_
_atom_site_label
_atom_site_type_symbol
_atom_site_fract_x
_atom_site_fract_y
_atom_site_fract_z
Ce1 Ce 0.0000 0.0000 0.2198
Ni1 Ni 0.0254 0.5127 0.2232
Rh1 Rh 0.0000 0.0000 0.0000
Rh2 Rh 0.0000 0.5000 0.0000
```

=====

Record 10
This entry pairs a crystal structure of CeNi6Rh2 with its simulated PXRD pattern. Radiation: Cu Kα (λ = 1.5418 Å). Structure: a cell relaxed with PBE.
No peak broadening, texture or thermal motion is included.

Most intense lines, 5 to 70 degrees two-theta, in order of rising 2θ:
| 2θ/deg | Rel. int. | h k l |
| --- | --- | --- |
| 28.65 | 36 | 0 1 3 |
| 38.62 | 16 | 0 2 2 |
| 41.28 | 57 | 1 1 4 |
| 42.10 | 18 | 0 1 5 |
| 42.26 | 100 | 1 2 1 |
| 42.85 | 52 | 2 0 0 |
| 43.83 | 33 | 1 0 5 |
| 57.54 | 17 | 1 2 5 |

```
data_CeNi6Rh2
_cell_length_a 4.2208
_cell_length_b 5.0730
_cell_length_c 11.8427
_cell_angle_alpha 90.00
_cell_angle_beta 90.00
_cell_angle_gamma 90.00
_space_group_name_H-M_alt 'I m m m'
_space_group_IT_number 71
_space_group_name_Hall '-I 2 2'
loop_
_atom_site_label
_atom_site_type_symbol
_atom_site_fract_x
_atom_site_fract_y
_atom_site_fract_z
Ce1 Ce 0.0000 0.0000 0.0000
Ni1 Ni 0.0000 0.2270 0.5000
Ni2 Ni 0.0000 0.2460 0.3000
Rh1 Rh 0.0000 0.5000 0.1166
```

=====

Record 11
This entry pairs a crystal structure of Ce4Ni6Rh7 with its simulated PXRD pattern. Radiation: Cu Kα (λ = 1.5418 Å). Structure: a cell relaxed with PBE.
No peak broadening, texture or thermal motion is included.

Most intense lines, 5 to 70 degrees two-theta, in order of rising 2θ:
| 2θ/deg | Rel. int. | h k l |
| --- | --- | --- |
| 26.70 | 7 | 2 1 1 |
| 30.93 | 19 | 2 2 0 |
| 38.12 | 100 | 2 2 2 |
| 41.31 | 19 | 3 2 1 |
| 44.31 | 63 | 4 0 0 |
| 52.49 | 11 | 3 3 2 |
| 55.02 | 4 | 4 2 2 |
| 64.46 | 36 | 4 4 0 |

```
data_Ce4Ni6Rh7
_cell_length_a 8.1769
_cell_length_b 8.1769
_cell_length_c 8.1769
_cell_angle_alpha 90.00
_cell_angle_beta 90.00
_cell_angle_gamma 90.00
_space_group_name_H-M_alt 'I m -3 m'
_space_group_IT_number 229
_space_group_name_Hall '-I 4 2 3'
loop_
_atom_site_label
_atom_site_type_symbol
_atom_site_fract_x
_atom_site_fract_y
_atom_site_fract_z
Ce1 Ce 0.2500 0.2500 0.2500
Ni1 Ni 0.0000 0.0000 0.3011
Rh1 Rh 0.0000 0.0000 0.0000
Rh2 Rh 0.0000 0.2500 0.5000
```

=====

Record 12
This entry pairs a crystal structure of CeNiSb2Rh2 with its simulated PXRD pattern. Radiation: Cu Kα (λ = 1.5418 Å). Structure: a cell relaxed with PBE.
No peak broadening, texture or thermal motion is included.

Most intense lines, 5 to 70 degrees two-theta, in order of rising 2θ:
| 2θ/deg | Rel. int. | h k l |
| --- | --- | --- |
| 16.29 | 22 | 0 0 1 |
| 30.97 | 84 | 1 1 1 |
| 37.32 | 100 | 2 0 0 |
| 37.98 | 75 | 1 0 2 |
| 42.52 | 19 | 1 1 2 |
| 53.81 | 34 | 2 2 0 |
| 54.31 | 52 | 2 1 2 |
| 63.39 | 22 | 3 1 1 |

```
data_CeNiSb2Rh2
_cell_length_a 4.8187
_cell_length_b 4.8187
_cell_length_c 5.4405
_cell_angle_alpha 90.00
_cell_angle_beta 90.00
_cell_angle_gamma 90.00
_space_group_name_H-M_alt 'P 4/m m m'
_space_group_IT_number 123
_space_group_name_Hall '-P 4 2'
loop_
_atom_site_label
_atom_site_type_symbol
_atom_site_fract_x
_atom_site_fract_y
_atom_site_fract_z
Ce1 Ce 0.0000 0.0000 0.0000
Ni1 Ni 0.0000 0.0000 0.5000
Sb1 Sb 0.0000 0.5000 0.5000
Rh1 Rh 0.5000 0.5000 0.2377
```

=====

Record 13
This entry pairs a crystal structure of Ce2Si3Ni4Rh with its simulated PXRD pattern. Radiation: Cu Kα (λ = 1.5418 Å). Structure: a cell relaxed with PBE.
No peak broadening, texture or thermal motion is included.

Most intense lines, 5 to 70 degrees two-theta, in order of rising 2θ:
| 2θ/deg | Rel. int. | h k l |
| --- | --- | --- |
| 24.64 | 18 | 1 0 1 |
| 34.24 | 14 | 0 0 4 |
| 34.68 | 43 | 1 0 3 |
| 37.23 | 100 | 1 1 2 |
| 47.22 | 38 | 2 0 0 |
| 49.53 | 24 | 1 0 5 |
| 59.90 | 17 | 2 1 3 |
| 69.00 | 12 | 2 2 0 |

```
data_Ce2Si3Ni4Rh
_cell_length_a 3.8495
_cell_length_b 3.8495
_cell_length_c 10.4766
_cell_angle_alpha 90.00
_cell_angle_beta 90.00
_cell_angle_gamma 90.00
_space_group_name_H-M_alt 'P -4 m 2'
_space_group_IT_number 115
_space_group_name_Hall 'P -4 -2'
loop_
_atom_site_label
_atom_site_type_symbol
_atom_site_fract_x
_atom_site_fract_y
_atom_site_fract_z
Ce1 Ce 0.0000 0.5000 0.2448
Si1 Si 0.0000 0.0000 0.0000
Si2 Si 0.0000 0.5000 0.6210
Ni1 Ni 0.0000 0.0000 0.5000
Ni2 Ni 0.0000 0.5000 0.8422
Ni3 Ni 0.5000 0.5000 0.5000
Rh1 Rh 0.5000 0.5000 0.0000
```